SrLuPt2: simulated powder XRD pattern (Cu Kα (λ = 1.5418 Å)), based on DFT lattice parameters and positions (GGA-PBE).

Top 6 peaks for 2θ = 15–90°, in order of rising 2θ:
d/Å, 2θ (°), intensity, hkl
4.535, 19.6, 5.8, 1 1 1
2.777, 32.2, 100.0, 2 2 0
1.964, 46.2, 18.6, 4 0 0
1.603, 57.5, 39.1, 4 2 2
1.388, 67.5, 12.1, 4 4 0
1.242, 76.7, 16.9, 6 2 0

Structure:
```
data_SrLuPt2
_chemical_formula_sum 'Sr4 Lu4 Pt8'
_cell_length_a 7.855
_cell_length_b 7.855
_cell_length_c 7.855
_cell_angle_alpha 90.00
_cell_angle_beta 90.00
_cell_angle_gamma 90.00
_space_group_name_H-M_alt 'F -4 3 m'
_space_group_IT_number 216
_space_group_name_Hall 'F -4 2 3'
loop_
_atom_site_label
_atom_site_fract_x
_atom_site_fract_y
_atom_site_fract_z
_atom_site_occupancy
Sr1 0.000 0.000 0.000 1
Lu1 0.250 0.250 0.250 1
Pt1 0.000 0.000 0.500 1
Pt2 0.250 0.250 0.750 1
```